1.
Th5Tl2Hg: calculated PXRD pattern (Cu Kα X-rays), based on a cell relaxed with GGA-PBE.

The 10 most intense peaks (2θ from 15° to 90°), sorted by position:
| index | 2θ/deg | Rel. int. |
| --- | --- | --- |
| 2 0 0 | 31.6 | 555 |
| 1 1 4 | 32.9 | 1000 |
| 2 2 0 | 45.3 | 210 |
| 0 0 8 | 49.0 | 83 |
| 3 1 4 | 57.1 | 429 |
| 2 0 8 | 59.5 | 189 |
| 2 2 8 | 68.9 | 123 |
| 4 2 0 | 74.9 | 98 |
| 3 3 4 | 75.7 | 95 |
| 1 1 12 | 81.3 | 79 |

abc: 5.667 5.667 14.871
angles: 90.00 90.00 90.00
Space group I4/mmm (No. 139)
One atom of each set of equivalent atoms:
Th (0.000, 0.000, 0.000) [2 per cell]
Th (0.000, 0.500, 0.125) [8 per cell]
Tl (0.000, 0.000, 0.247) [4 per cell]
Hg (0.000, 0.000, 0.500) [2 per cell]



2.
TmTh2Hg4: calculated PXRD pattern (Cu Kα X-rays), based on a cell relaxed with GGA-PBE.

The 10 most intense peaks (2θ from 15° to 90°), sorted by position:
| index | 2θ/deg | Rel. int. |
| --- | --- | --- |
| 1 1 2 | 27.3 | 213 |
| 1 1 4 | 34.4 | 1000 |
| 2 0 0 | 35.1 | 542 |
| 2 2 0 | 50.4 | 197 |
| 2 0 6 | 51.0 | 114 |
| 2 0 8 | 61.2 | 128 |
| 3 1 4 | 62.5 | 367 |
| 3 3 4 | 84.3 | 83 |
| 4 2 0 | 84.7 | 94 |
| 3 1 10 | 88.8 | 81 |

abc: 5.119 5.119 15.036
angles: 90.00 90.00 90.00
Space group I4/mmm (No. 139)
One atom of each set of equivalent atoms:
Tm (0.000, 0.000, 0.000) [2 per cell]
Th (0.000, 0.000, 0.257) [4 per cell]
Hg (0.000, 0.500, 0.107) [8 per cell]



3.
YTh2Hg: calculated PXRD pattern (Cu Kα X-rays), based on a cell relaxed with GGA-PBE.

The 10 most intense peaks (2θ from 15° to 90°), sorted by position:
| index | 2θ/deg | Rel. int. |
| --- | --- | --- |
| 1 1 1 | 31.8 | 1000 |
| 0 0 2 | 35.3 | 189 |
| 2 0 0 | 37.6 | 320 |
| 2 0 2 | 52.5 | 249 |
| 2 2 0 | 54.2 | 116 |
| 1 1 3 | 61.2 | 166 |
| 3 1 1 | 64.2 | 274 |
| 2 2 2 | 66.4 | 124 |
| 3 1 3 | 86.1 | 129 |
| 2 0 4 | 86.7 | 63 |

abc: 4.787 4.787 5.084
angles: 90.00 90.00 90.00
Space group P4/mmm (No. 123)
One atom of each set of equivalent atoms:
Y (0.000, 0.000, 0.000) [1 per cell]
Th (0.000, 0.500, 0.500) [2 per cell]
Hg (0.500, 0.500, 0.000) [1 per cell]



4.
YTh2Hg6: calculated PXRD pattern (Cu Kα X-rays), based on a cell relaxed with GGA-PBE.

The 10 most intense peaks (2θ from 15° to 90°), sorted by position:
| index | 2θ/deg | Rel. int. |
| --- | --- | --- |
| 1 1 1 | 33.3 | 1000 |
| 3 0 0 | 35.6 | 983 |
| 3 0 1 | 44.6 | 155 |
| 2 2 1 | 49.5 | 334 |
| 4 1 1 | 62.4 | 336 |
| 3 3 0 | 63.9 | 183 |
| 3 0 2 | 66.1 | 333 |
| 6 0 0 | 75.3 | 117 |
| 5 2 1 | 84.8 | 149 |
| 3 3 2 | 88.2 | 162 |

abc: 8.7468 8.7468 3.4115
angles: 90.00 90.00 120.00
Space group P6/mmm (No. 191)
One atom of each set of equivalent atoms:
Y (0.0000, 0.0000, 0.0000) [1 per cell]
Th (0.3333, 0.6667, 0.0000) [2 per cell]
Hg (0.0000, 0.3301, 0.5000) [6 per cell]



5.
Th4ZnHg: calculated PXRD pattern (Cu Kα X-rays), based on a cell relaxed with GGA-PBE.

The 10 most intense peaks (2θ from 15° to 90°), sorted by position:
| index | 2θ/deg | Rel. int. |
| --- | --- | --- |
| 2 1 1 | 30.2 | 1000 |
| 1 1 2 | 35.3 | 213 |
| 3 1 0 | 36.9 | 364 |
| 2 0 2 | 39.1 | 205 |
| 4 1 1 | 51.4 | 135 |
| 2 1 3 | 54.9 | 196 |
| 4 0 2 | 57.6 | 143 |
| 3 3 2 | 60.3 | 197 |
| 5 2 1 | 67.5 | 141 |
| 3 1 4 | 77.1 | 101 |

abc: 7.706 7.706 5.744
angles: 90.00 90.00 90.00
Space group P4/mcc (No. 124)
One atom of each set of equivalent atoms:
Th (0.150, 0.337, 0.000) [8 per cell]
Zn (0.000, 0.000, 0.250) [2 per cell]
Hg (0.500, 0.500, 0.250) [2 per cell]



6.
ThZnHg2: calculated PXRD pattern (Cu Kα X-rays), based on a cell relaxed with GGA-PBE.

The 10 most intense peaks (2θ from 15° to 90°), sorted by position:
| index | 2θ/deg | Rel. int. |
| --- | --- | --- |
| 1 1 1 | 27.5 | 241 |
| 0 2 1 | 31.2 | 467 |
| 1 0 2 | 34.4 | 757 |
| 1 2 1 | 36.7 | 1000 |
| 2 0 0 | 38.3 | 382 |
| 2 2 1 | 50.2 | 254 |
| 0 2 3 | 52.1 | 145 |
| 2 2 3 | 66.5 | 141 |
| 3 2 1 | 68.3 | 166 |
| 1 4 2 | 68.4 | 213 |

abc: 4.696 6.450 6.277
angles: 90.00 90.00 90.00
Space group Pmmn (No. 59, origin choice 2)
One atom of each set of equivalent atoms:
Th (0.250, 0.250, 0.102) [2 per cell]
Zn (0.250, 0.750, 0.244) [2 per cell]
Hg (0.250, 0.502, 0.651) [4 per cell]



7.
ThZrZnHg: calculated PXRD pattern (Cu Kα X-rays), based on a cell relaxed with GGA-PBE.

The 10 most intense peaks (2θ from 15° to 90°), sorted by position:
| index | 2θ/deg | Rel. int. |
| --- | --- | --- |
| 1 0 1 | 29.0 | 262 |
| 0 0 3 | 32.4 | 95 |
| 1 0 2 | 34.6 | 1000 |
| 1 1 0 | 38.3 | 405 |
| 0 0 4 | 43.7 | 107 |
| 1 1 3 | 51.0 | 110 |
| 2 0 0 | 55.3 | 142 |
| 1 1 4 | 59.5 | 172 |
| 2 1 2 | 66.9 | 297 |
| 2 0 4 | 73.0 | 94 |

abc: 3.322 3.322 8.290
angles: 90.00 90.00 90.00
Space group P4mm (No. 99)
One atom of each set of equivalent atoms:
Th (0.000, 0.000, 0.000) [1 per cell]
Zr (0.000, 0.000, 0.468) [1 per cell]
Zn (0.500, 0.500, 0.258) [1 per cell]
Hg (0.500, 0.500, 0.709) [1 per cell]



8.
Th2ZrHg: calculated PXRD pattern (Cu Kα X-rays), based on a cell relaxed with GGA-PBE.

The 10 most intense peaks (2θ from 15° to 90°), sorted by position:
| index | 2θ/deg | Rel. int. |
| --- | --- | --- |
| 1 0 2 | 32.1 | 1000 |
| 0 0 4 | 37.0 | 173 |
| 1 1 0 | 37.4 | 334 |
| 1 1 4 | 53.6 | 241 |
| 2 0 0 | 54.0 | 118 |
| 1 0 6 | 63.6 | 145 |
| 2 1 2 | 64.2 | 282 |
| 2 0 4 | 67.2 | 123 |
| 2 1 6 | 88.1 | 125 |
| 3 0 2 | 88.7 | 62 |

abc: 3.398 3.398 9.730
angles: 90.00 90.00 90.00
Space group P4/mmm (No. 123)
One atom of each set of equivalent atoms:
Th (0.000, 0.000, 0.249) [2 per cell]
Zr (0.500, 0.500, 0.000) [1 per cell]
Hg (0.500, 0.500, 0.500) [1 per cell]



9.
Ti5Hg3: calculated PXRD pattern (Cu Kα X-rays), based on a cell relaxed with GGA-PBE.

The 10 most intense peaks (2θ from 15° to 90°), sorted by position:
| index | 2θ/deg | Rel. int. |
| --- | --- | --- |
| 0 0 3 | 15.7 | 320 |
| 0 0 5 | 26.2 | 144 |
| 1 0 1 | 30.8 | 331 |
| 1 0 4 | 37.1 | 1000 |
| 0 0 8 | 42.6 | 166 |
| 1 1 0 | 43.4 | 323 |
| 1 1 8 | 62.4 | 210 |
| 1 0 12 | 74.3 | 122 |
| 2 1 4 | 75.4 | 247 |
| 2 0 8 | 79.0 | 107 |

abc: 2.951 2.951 16.984
angles: 90.00 90.00 90.00
Space group P4/mmm (No. 123)
One atom of each set of equivalent atoms:
Ti (0.000, 0.000, 0.000) [1 per cell]
Ti (0.000, 0.000, 0.255) [2 per cell]
Ti (0.500, 0.500, 0.367) [2 per cell]
Hg (0.000, 0.000, 0.500) [1 per cell]
Hg (0.500, 0.500, 0.124) [2 per cell]



10.
TiHg: calculated PXRD pattern (Cu Kα X-rays), based on a cell relaxed with GGA-PBE.

The 10 most intense peaks (2θ from 15° to 90°), sorted by position:
| index | 2θ/deg | Rel. int. |
| --- | --- | --- |
| 0 3 1 | 25.2 | 825 |
| 0 2 2 | 29.8 | 1000 |
| 1 0 1 | 32.5 | 508 |
| 1 2 1 | 35.7 | 592 |
| 1 3 0 | 37.0 | 935 |
| 0 5 1 | 38.6 | 491 |
| 0 1 3 | 40.1 | 222 |
| 1 1 2 | 40.6 | 563 |
| 1 2 3 | 52.4 | 315 |
| 1 5 2 | 55.0 | 449 |

abc: 3.004 12.389 6.862
angles: 90.00 90.00 90.00
Space group Imm2 (No. 44)
One atom of each set of equivalent atoms:
Ti (0.000, 0.000, 0.000) [2 per cell]
Ti (0.000, 0.387, 0.232) [4 per cell]
Hg (0.000, 0.000, 0.423) [2 per cell]
Hg (0.000, 0.306, 0.635) [4 per cell]



11.
Ti4Zn3Hg: calculated PXRD pattern (Cu Kα X-rays), based on a cell relaxed with GGA-PBE.

The 10 most intense peaks (2θ from 15° to 90°), sorted by position:
| index | 2θ/deg | Rel. int. |
| --- | --- | --- |
| 0 0 2 | 19.6 | 105 |
| 0 1 1 | 21.9 | 75 |
| 1 0 0 | 27.7 | 70 |
| 0 1 2 | 27.9 | 140 |
| 0 2 0 | 39.7 | 1000 |
| 0 0 4 | 40.0 | 194 |
| 0 2 4 | 57.6 | 127 |
| 1 3 2 | 72.1 | 191 |
| 1 1 6 | 72.4 | 122 |
| 0 4 0 | 85.6 | 100 |

abc: 3.221 4.536 9.027
angles: 90.00 90.00 90.00
Space group Pmmm (No. 47)
One atom of each set of equivalent atoms:
Ti (0.000, 0.000, 0.000) [1 per cell]
Ti (0.000, 0.000, 0.500) [1 per cell]
Ti (0.000, 0.500, 0.238) [2 per cell]
Zn (0.500, 0.000, 0.247) [2 per cell]
Zn (0.500, 0.500, 0.000) [1 per cell]
Hg (0.500, 0.500, 0.500) [1 per cell]



12.
ZrTiHg: calculated PXRD pattern (Cu Kα X-rays), based on a cell relaxed with GGA-PBE.

The 10 most intense peaks (2θ from 15° to 90°), sorted by position:
| index | 2θ/deg | Rel. int. |
| --- | --- | --- |
| 0 1 2 | 28.5 | 484 |
| 1 0 -2 | 35.0 | 294 |
| 1 1 -1 | 35.5 | 167 |
| 0 2 0 | 36.2 | 611 |
| 1 1 1 | 37.5 | 894 |
| 0 1 3 | 38.0 | 1000 |
| 1 1 -2 | 39.6 | 464 |
| 1 2 -2 | 51.3 | 194 |
| 0 3 3 | 66.3 | 167 |
| 1 2 4 | 69.8 | 197 |

abc: 3.049 4.957 8.141
angles: 90.00 96.12 90.00
Space group P2_1/m (No. 11)
One atom of each set of equivalent atoms:
Zr (0.055, 0.250, 0.241) [2 per cell]
Ti (0.324, 0.750, 0.451) [2 per cell]
Hg (0.449, 0.250, 0.891) [2 per cell]



13.
TlHg: calculated PXRD pattern (Cu Kα X-rays), based on a cell relaxed with GGA-PBE.

The 10 most intense peaks (2θ from 15° to 90°), sorted by position:
| index | 2θ/deg | Rel. int. |
| --- | --- | --- |
| 1 1 2 | 32.1 | 1000 |
| 0 0 4 | 33.8 | 214 |
| 0 2 0 | 35.0 | 201 |
| 2 0 0 | 42.4 | 119 |
| 0 2 4 | 49.4 | 149 |
| 2 0 4 | 55.3 | 108 |
| 1 1 6 | 59.4 | 167 |
| 1 3 2 | 60.9 | 165 |
| 2 2 4 | 67.1 | 121 |
| 3 1 2 | 71.1 | 129 |

abc: 4.263 5.129 10.608
angles: 90.00 90.00 90.00
Space group Imma (No. 74)
One atom of each set of equivalent atoms:
Tl (0.000, 0.250, 0.119) [4 per cell]
Hg (0.000, 0.250, 0.632) [4 per cell]



14.
Tl3Hg5: calculated PXRD pattern (Cu Kα X-rays), based on a cell relaxed with GGA-PBE.

The 10 most intense peaks (2θ from 15° to 90°), sorted by position:
| index | 2θ/deg | Rel. int. |
| --- | --- | --- |
| 1 1 4 | 32.0 | 1000 |
| 2 0 0 | 37.0 | 344 |
| 0 0 8 | 37.3 | 162 |
| 2 2 0 | 53.3 | 123 |
| 2 0 8 | 53.6 | 233 |
| 3 1 4 | 63.5 | 289 |
| 1 1 12 | 64.0 | 131 |
| 2 2 8 | 66.9 | 121 |
| 3 3 4 | 87.5 | 64 |
| 3 1 12 | 88.0 | 117 |

abc: 4.860 4.860 19.265
angles: 90.00 90.00 90.00
Space group I-4m2 (No. 119)
One atom of each set of equivalent atoms:
Tl (0.000, 0.000, 0.000) [2 per cell]
Tl (0.000, 0.500, 0.132) [4 per cell]
Hg (0.000, 0.000, 0.249) [4 per cell]
Hg (0.000, 0.000, 0.500) [2 per cell]
Hg (0.000, 0.500, 0.628) [4 per cell]



15.
Tl2Hg5: calculated PXRD pattern (Cu Kα X-rays), based on a cell relaxed with GGA-PBE.

The 10 most intense peaks (2θ from 15° to 90°), sorted by position:
| index | 2θ/deg | Rel. int. |
| --- | --- | --- |
| 1 9 0 | 32.1 | 311 |
| 1 5 1 | 32.8 | 769 |
| 0 14 1 | 33.3 | 1000 |
| 0 0 2 | 33.5 | 606 |
| 1 9 1 | 36.4 | 561 |
| 1 9 2 | 47.1 | 219 |
| 2 0 0 | 53.8 | 197 |
| 0 28 0 | 59.5 | 193 |
| 2 14 1 | 64.8 | 303 |
| 1 23 2 | 66.5 | 205 |

abc: 3.405 43.547 5.344
angles: 90.00 90.00 90.00
Space group Cmcm (No. 63)
One atom of each set of equivalent atoms:
Tl (0.000, 0.119, 0.250) [4 per cell]
Tl (0.000, 0.334, 0.250) [4 per cell]
Hg (0.000, 0.022, 0.750) [4 per cell]
Hg (0.000, 0.195, 0.250) [4 per cell]
Hg (0.000, 0.239, 0.750) [4 per cell]
Hg (0.000, 0.410, 0.250) [4 per cell]
Hg (0.000, 0.454, 0.750) [4 per cell]